# MgSi2
Calculated XRD peak list, Cu Ka. Input: a structure optimized by DFT (GGA-PBE).
Lines closer than 0.1° are merged.

Cell and atoms:
```
data_MgSi2
_chemical_formula_sum 'Mg4 Si8'
_symmetry_space_group_name_H-M 'P 1 2/m 1'
_symmetry_Int_Tables_number 10
_symmetry_space_group_name_Hall '-P 2y'
_cell_length_a 6.676
_cell_length_b 3.744
_cell_length_c 9.778
_cell_angle_alpha 90.00
_cell_angle_beta 103.37
_cell_angle_gamma 90.00
loop_
_atom_site_label
_atom_site_type_symbol
_atom_site_fract_x
_atom_site_fract_y
_atom_site_fract_z
Mg1 Mg 0.115 0.000 0.380
Mg2 Mg 0.340 0.500 0.175
Si1 Si 0.106 0.500 0.815
Si2 Si 0.162 0.000 0.965
Si3 Si 0.253 0.500 0.614
Si4 Si 0.476 0.000 0.618
```

Largest 10 diffraction maxima, by angle, 15 to 90 degrees two-theta:
2θ 18.23, d 4.866, intensity 47, hkl 1 0 1
2θ 28.02, d 3.184, intensity 28, hkl 1 1 -1
2θ 29.50, d 3.028, intensity 77, hkl 2 0 -2
2θ 30.38, d 2.942, intensity 57, hkl 0 1 2
2θ 35.25, d 2.546, intensity 57, hkl 1 1 2
2θ 37.16, d 2.420, intensity 75, hkl 0 1 3
2θ 39.50, d 2.281, intensity 100, hkl 2 1 1
2θ 47.81, d 1.903, intensity 33, hkl 0 0 5
2θ 48.43, d 1.879, intensity 80, hkl 2 1 -4
2θ 48.62, d 1.873, intensity 80, hkl 0 2 0